(1)
Starting from DFT lattice parameters and positions (GGA+U), the X-ray powder pattern of CoO2 was simulated for λ = 1.5418 Å (Cu Kα).
Peak positions follow from Bragg's law for the DFT cell and can differ from measured ones.

```
data_CoO2
_chemical_formula_sum 'Co2 O4'
_cell_length_a 2.815
_cell_length_b 2.842
_cell_length_c 10.295
_cell_angle_alpha 90.11
_cell_angle_beta 90.09
_cell_angle_gamma 119.68
_space_group_name_H-M_alt 'P 1'
_space_group_IT_number 1
_space_group_name_Hall 'P 1'
loop_
_atom_site_label
_atom_site_fract_x
_atom_site_fract_y
_atom_site_fract_z
Co1 0.000 0.000 0.000
Co2 0.000 0.000 0.500
O1 0.331 0.664 0.409
O2 0.334 0.666 0.091
O3 0.666 0.334 0.909
O4 0.669 0.336 0.592
```

Most intense lines, 2θ = 10–90°, sorted by position:
Position (°2θ)  I/Imax  index
17.23  100  0 0 2
34.86  5  0 0 4
36.39  5  0 1 0
36.75  10  1 0 0
40.48  6  0 1 -2
40.58  6  0 1 2
40.86  22  1 0 2
51.19  5  0 1 -4
51.36  5  0 1 4
51.53  13  1 -1 4
65.72  6  1 1 0
66.45  7  2 -1 0


(2)
Starting from DFT lattice parameters and positions (GGA+U), the X-ray powder pattern of CoO2 was simulated for λ = 1.5418 Å (Cu Kα).
Peak positions follow from Bragg's law for the DFT cell and can differ from measured ones.

```
data_CoO2
_chemical_formula_sum 'Co8 O16'
_cell_length_a 8.309
_cell_length_b 2.869
_cell_length_c 9.926
_cell_angle_alpha 90.00
_cell_angle_beta 90.00
_cell_angle_gamma 90.00
_space_group_name_H-M_alt 'P 1'
_space_group_IT_number 1
_space_group_name_Hall 'P 1'
loop_
_atom_site_label
_atom_site_fract_x
_atom_site_fract_y
_atom_site_fract_z
Co1 0.053 0.250 0.116
Co2 0.088 0.250 0.601
Co3 0.412 0.750 0.101
Co4 0.447 0.750 0.616
Co5 0.553 0.250 0.384
Co6 0.588 0.250 0.899
Co7 0.912 0.750 0.399
Co8 0.947 0.750 0.884
O1 0.037 0.750 0.714
O2 0.086 0.250 0.931
O3 0.116 0.750 0.478
O4 0.194 0.750 0.148
O5 0.306 0.250 0.648
O6 0.384 0.250 0.978
O7 0.414 0.750 0.431
O8 0.463 0.250 0.214
O9 0.537 0.750 0.786
O10 0.586 0.250 0.569
O11 0.616 0.750 0.022
O12 0.694 0.750 0.352
O13 0.806 0.250 0.852
O14 0.884 0.250 0.522
O15 0.914 0.750 0.069
O16 0.963 0.250 0.286
```

Most intense lines, 2θ = 10–90°, sorted by position:
Position (°2θ)  I/Imax  index
17.87  21  0 0 2
20.85  91  1 0 2
21.39  100  2 0 0
36.20  34  0 0 4
37.18  48  3 0 2
37.80  87  1 1 2
38.12  29  2 1 0
53.58  33  2 1 4
54.54  26  4 1 0
65.01  16  0 2 0
66.17  17  1 1 6
67.23  26  4 1 4


(3)
Starting from DFT lattice parameters and positions (GGA+U), the X-ray powder pattern of CoO2 was simulated for λ = 1.5418 Å (Cu Kα).
Peak positions follow from Bragg's law for the DFT cell and can differ from measured ones.

```
data_CoO2
_chemical_formula_sum 'Co2 O4'
_cell_length_a 2.910
_cell_length_b 2.911
_cell_length_c 14.078
_cell_angle_alpha 85.15
_cell_angle_beta 84.71
_cell_angle_gamma 60.78
_space_group_name_H-M_alt 'P 1'
_space_group_IT_number 1
_space_group_name_Hall 'P 1'
loop_
_atom_site_label
_atom_site_fract_x
_atom_site_fract_y
_atom_site_fract_z
Co1 0.000 0.000 0.000
Co2 0.500 0.500 0.500
O1 0.172 0.218 0.431
O2 0.277 0.333 0.069
O3 0.723 0.667 0.931
O4 0.828 0.782 0.569
```

Most intense lines, 2θ = 10–90°, sorted by position:
Position (°2θ)  I/Imax  index
12.64  100  0 0 2
25.44  8  0 0 4
35.64  3  1 0 1
36.26  4  0 1 -1
36.39  4  1 0 -1
36.96  4  1 1 2
41.26  5  0 1 -3
41.52  5  1 0 -3
42.25  5  1 1 4
49.56  3  0 1 -5
49.92  3  1 0 -5
50.73  3  1 1 6


(4)
Starting from DFT lattice parameters and positions (GGA+U), the X-ray powder pattern of CoO was simulated for λ = 1.5418 Å (Cu Kα).
Peak positions follow from Bragg's law for the DFT cell and can differ from measured ones.

```
data_CoO
_chemical_formula_sum 'Co4 O4'
_cell_length_a 3.269
_cell_length_b 5.646
_cell_length_c 5.289
_cell_angle_alpha 90.00
_cell_angle_beta 90.00
_cell_angle_gamma 90.00
_space_group_name_H-M_alt 'P 1'
_space_group_IT_number 1
_space_group_name_Hall 'P 1'
loop_
_atom_site_label
_atom_site_fract_x
_atom_site_fract_y
_atom_site_fract_z
Co1 0.000 0.166 0.000
Co2 0.000 0.834 0.500
Co3 0.500 0.334 0.500
Co4 0.500 0.666 0.000
O1 0.000 0.166 0.622
O2 0.000 0.834 0.122
O3 0.500 0.334 0.122
O4 0.500 0.666 0.622
```

Most intense lines, 2θ = 10–90°, sorted by position:
Position (°2θ)  I/Imax  index
31.65  56  1 1 0
33.90  42  0 0 2
36.02  100  0 2 1
47.05  23  1 1 2
56.27  12  2 0 0
56.41  24  1 3 0
62.04  36  0 2 3
67.34  10  2 0 2
67.46  19  1 3 2
68.68  9  2 2 1
68.84  5  0 4 1
88.64  8  2 2 3